This entry pairs a crystal structure of Na2Sr4In with its simulated XRD peak list. Radiation: CuKα. Structure: DFT lattice parameters and positions (PBE).
Neutral-atom scattering factors, no anomalous dispersion.

Largest 12 diffraction maxima, by angle, 5 to 70 degrees two-theta:
9.03°, I = 16.1
17.28°, I = 9.9
20.89°, I = 15.5
29.72°, I = 100.0
31.09°, I = 5.6
42.53°, I = 18.4
47.84°, I = 6.8
52.70°, I = 29.1
52.84°, I = 9.3
61.63°, I = 6.0
61.78°, I = 5.7
69.92°, I = 8.1

Crystal structure
a = 10.3953 Å, b = 10.3953 Å, c = 10.3953 Å
α = 33.66°, β = 33.66°, γ = 33.66°
Positions (direct):
Na 0.2475 0.2475 0.2475
Na 0.7525 0.7525 0.7525
Sr 0.1272 0.1272 0.1272
Sr 0.3772 0.3772 0.3772
Sr 0.6228 0.6228 0.6228
Sr 0.8728 0.8728 0.8728
In 0.5000 0.5000 0.5000



This entry pairs a crystal structure of Mg4In3Au with its simulated XRD peak list. Radiation: CuKα. Structure: DFT lattice parameters and positions (PBE).
Neutral-atom scattering factors, no anomalous dispersion.

Largest 12 diffraction maxima, by angle, 5 to 70 degrees two-theta:
5.27°, I = 49.7
21.19°, I = 43.0
27.47°, I = 47.7
34.95°, I = 100.0
39.24°, I = 39.8
43.15°, I = 10.4
45.02°, I = 24.4
51.92°, I = 14.3
56.70°, I = 13.3
59.73°, I = 15.6
61.22°, I = 9.7
68.36°, I = 27.4

Crystal structure
a = 3.2471 Å, b = 3.2471 Å, c = 16.7710 Å
α = 90.00°, β = 90.00°, γ = 90.00°
Positions (direct):
Mg 0.0000 0.0000 0.1001
Mg 0.0000 0.0000 0.3662
Mg 0.0000 0.0000 0.6338
Mg 0.0000 0.0000 0.8999
In 0.5000 0.5000 0.2340
In 0.5000 0.5000 0.5000
In 0.5000 0.5000 0.7660
Au 0.5000 0.5000 0.0000